1.
Starting from a structure optimized by DFT (GGA-PBE), the powder XRD pattern of TmNbN2O was calculated for Cu Kα X-rays.
Kinematic intensities with the Lorentz-polarization factor, no thermal factor.

Crystal structure
```
TmNbN2O
1.0
-3.904 2.797 2.831
3.904 -2.797 2.831
3.904 2.797 -2.831
Tm Nb N O
2 2 4 2
direct
0.032 0.250 0.282 Tm
0.968 0.750 0.718 Tm
0.489 0.489 0.000 Nb
0.489 0.989 0.500 Nb
0.018 0.197 0.680 N
0.018 0.838 0.320 N
0.517 0.338 0.320 N
0.517 0.697 0.680 N
0.391 0.772 0.118 O
0.654 0.272 0.882 O
```

Most intense lines, 10° ≤ 2θ ≤ 90°, sorted by position:
d (Å), 2θ (°), I (rel.)
2.831, 31.60, 27
2.797, 31.99, 20
2.787, 32.11, 100
1.990, 45.59, 23
1.626, 56.60, 20
1.613, 57.10, 19
1.607, 57.33, 12
1.394, 67.17, 11

2.
Starting from a structure optimized by DFT (GGA-PBE), the powder XRD pattern of Rb2ZrAg2Se3S was calculated for Cu Kα X-rays.
Kinematic intensities with the Lorentz-polarization factor, no thermal factor.

Crystal structure
```
Rb2ZrAg2Se3S
1.0
6.261 0.000 0.000
0.040 6.278 0.000
0.002 3.127 7.029
Rb Zr Ag Se S
2 1 2 3 1
direct
0.000 0.000 0.000 Rb
0.479 0.500 0.000 Rb
0.740 0.498 0.504 Zr
0.238 0.502 0.505 Ag
0.746 0.995 0.505 Ag
0.506 0.840 0.286 Se
0.510 0.157 0.724 Se
0.973 0.374 0.284 Se
0.962 0.618 0.707 S
```

Most intense lines, 10° ≤ 2θ ≤ 90°, sorted by position:
d (Å), 2θ (°), I (rel.)
7.029, 12.59, 65
3.226, 27.65, 96
3.215, 27.75, 85
2.865, 31.22, 100
2.341, 38.46, 45
2.224, 40.57, 47
2.209, 40.84, 46
1.877, 48.50, 44

3.
Starting from a structure optimized by DFT (GGA-PBE), the powder XRD pattern of RbTl3In3Cu4 was calculated for Cu Kα X-rays.
Kinematic intensities with the Lorentz-polarization factor, no thermal factor.

Crystal structure
```
RbTl3In3Cu4
1.0
7.992 0.000 0.000
-3.996 6.921 0.000
0.000 0.000 4.517
Rb Tl In Cu
1 3 3 4
direct
0.000 0.000 0.000 Rb
0.386 0.193 0.500 Tl
0.807 0.193 0.500 Tl
0.807 0.614 0.500 Tl
0.069 0.534 0.000 In
0.466 0.534 0.000 In
0.466 0.931 0.000 In
0.226 0.451 0.500 Cu
0.226 0.774 0.500 Cu
0.549 0.774 0.500 Cu
0.667 0.333 0.000 Cu
```

Most intense lines, 10° ≤ 2θ ≤ 90°, sorted by position:
d (Å), 2θ (°), I (rel.)
6.921, 12.79, 16
2.747, 32.60, 100
2.616, 34.28, 28
2.262, 39.86, 66
1.998, 45.39, 17
1.710, 53.61, 16
1.615, 57.04, 17
1.497, 61.98, 27